Diffraction record for Li2Tl2SbO6. The powder X-ray diffraction pattern is theoretical, not measured: it uses a DFT-relaxed cell (PBE, Alexandria) and λ = 1.5418 Å (Cu Kα).

Peak list (6 most intense, 10° ≤ 2θ ≤ 90°, most intense first)
- (1 0 1), d = 3.527 Å, 2θ 25.25, I 100
- (1 1 0), d = 2.694 Å, 2θ 33.25, I 73
- (2 -1 2), d = 1.904 Å, 2θ 47.76, I 59
- (3 -1 1), d = 1.676 Å, 2θ 54.77, I 36
- (1 1 1), d = 2.410 Å, 2θ 37.32, I 31
- (2 0 1), d = 2.141 Å, 2θ 42.20, I 25

Structure:
```
data_Li2Tl2SbO6
_chemical_formula_sum 'Li2 Tl2 Sb1 O6'
_space_group_name_H-M_alt 'P -3 1 m'
_space_group_IT_number 162
_space_group_name_Hall '-P 3 2'
_cell_length_a 5.3898
_cell_length_b 5.3898
_cell_length_c 5.3828
_cell_angle_alpha 90.00
_cell_angle_beta 90.00
_cell_angle_gamma 120.00
loop_
_atom_site_label
_atom_site_type_symbol
_atom_site_fract_x
_atom_site_fract_y
_atom_site_fract_z
Li1 Li 0.3333 0.6667 0.0000
Tl1 Tl 0.3333 0.6667 0.5000
Sb1 Sb 0.0000 0.0000 0.0000
O1 O 0.0000 0.3192 0.2091
```